Calculated XRD peak list
Compound: LiCuSbO4
Radiation: Cu Kα X-rays
Structure: a structure optimized by DFT (GGA-PBE)

The 8 most intense peaks (10 to 90 degrees two-theta), in order of rising 2θ:
hkl	2θ/deg	I/Imax
1 0 0	14.41	43
1 1 1	23.00	87
1 0 2	25.54	45
1 1 2	29.44	31
2 1 1	34.29	100
1 0 3	34.97	51
3 2 1	54.93	30
2 2 4	61.09	43

Cell lengths 6.148, 6.148, 8.471 Å; angles 90.00, 90.00, 90.00 degrees
Space group P4_322 (No. 95)
Unique sites:
1 Li 0.000 0.212 0.000
2 Cu 0.245 0.245 0.625
3 Sb 0.228 0.500 0.250
4 O 0.017 0.262 0.252
5 O 0.265 0.474 0.011